The following is a simulated X-ray diffraction stick pattern of AcNd6Hg2. It was derived from a GGA-PBE-relaxed structure, using CuKα.
Neutral-atom scattering factors, no anomalous dispersion.

Most intense lines, 10° ≤ 2θ ≤ 90°, in order of falling intensity:
2θ 31.61, 2.830 Å, I 100, (1 1 -3); 2θ 31.49, 2.841 Å, I 97, (3 1 0); 2θ 30.52, 2.929 Å, I 50, (2 0 3); 2θ 30.39, 2.941 Å, I 49, (4 0 -3); 2θ 54.82, 1.675 Å, I 31, (5 1 -6); 2θ 56.90, 1.618 Å, I 20, (2 2 3); 2θ 46.79, 1.942 Å, I 18, (0 2 0); 2θ 56.81, 1.621 Å, I 18, (4 2 -3); 2θ 43.80, 2.067 Å, I 17, (2 0 -6); 2θ 55.02, 1.669 Å, I 16, (1 1 6)

```
data_AcNd6Hg2
_symmetry_space_group_name_H-M 'C 1 2/m 1'
_symmetry_Int_Tables_number 12
_cell_length_a 13.187
_cell_length_b 3.883
_cell_length_c 12.401
_cell_angle_alpha 90.00
_cell_angle_beta 108.52
_cell_angle_gamma 90.00
loop_
_symmetry_equiv_pos_as_xyz
'x,y,z'
'-x,-y,-z'
'-x,y,-z'
'x,-y,z'
'x+1/2,y+1/2,z'
'-x+1/2,-y+1/2,-z'
'-x+1/2,y+1/2,-z'
'x+1/2,-y+1/2,z'
loop_
_atom_site_label
_atom_site_type_symbol
_atom_site_fract_x
_atom_site_fract_y
_atom_site_fract_z
Ac1 Ac 0.000 0.000 0.000
Nd1 Nd 0.017 0.000 0.338
Nd2 Nd 0.187 0.500 0.584
Nd3 Nd 0.189 0.500 0.873
Hg1 Hg 0.152 0.500 0.220
```